[1]
Structure and theoretical powder diffractogram of InGaBi (a crystal structure in Alexandria, relaxed with PBE; a wavelength of 1.5418 Å).
Neutral-atom scattering factors, no anomalous dispersion.

Atomic structure:
```
data_InGaBi
_symmetry_space_group_name_H-M 'P -1'
_symmetry_Int_Tables_number 2
_cell_length_a 4.702
_cell_length_b 4.760
_cell_length_c 7.674
_cell_angle_alpha 72.06
_cell_angle_beta 85.72
_cell_angle_gamma 89.51
loop_
_symmetry_equiv_pos_as_xyz
'x,y,z'
'-x,-y,-z'
loop_
_atom_site_label
_atom_site_fract_x
_atom_site_fract_y
_atom_site_fract_z
In1 0.000 0.000 0.000
In2 0.500 0.500 0.000
Ga1 0.005 0.651 0.685
Bi1 0.430 0.827 0.349
```

Largest 12 diffraction maxima, by angle, 2θ from 10° to 90°:
Position (°2θ)  d_spacing  I_rel  index
18.93  4.688  28  1 0 0
23.33  3.812  31  1 0 -1
26.22  3.398  36  0 1 -1
31.62  2.830  100  1 1 2
31.76  2.817  98  1 -1 1
33.25  2.695  77  1 1 -1
33.50  2.675  75  -1 1 2
37.05  2.427  64  0 0 3
37.80  2.380  65  0 2 1
38.40  2.344  41  2 0 0
54.05  1.697  22  0 2 4
62.42  1.488  29  1 1 5

[2]
Structure and theoretical powder diffractogram of La4Pm2SmDy (a crystal structure in Alexandria, relaxed with PBE; a wavelength of 1.5418 Å).
Neutral-atom scattering factors, no anomalous dispersion.

Atomic structure:
```
data_La4Pm2SmDy
_symmetry_space_group_name_H-M 'P 1 2/m 1'
_symmetry_Int_Tables_number 10
_cell_length_a 5.230
_cell_length_b 5.267
_cell_length_c 10.225
_cell_angle_alpha 90.00
_cell_angle_beta 90.06
_cell_angle_gamma 90.00
loop_
_symmetry_equiv_pos_as_xyz
'x,y,z'
'-x,-y,-z'
'-x,y,-z'
'x,-y,z'
loop_
_atom_site_label
_atom_site_fract_x
_atom_site_fract_y
_atom_site_fract_z
La1 0.000 0.000 0.249
La2 0.499 0.500 0.751
Pm1 0.000 0.500 0.000
Pm2 0.500 0.000 0.500
Sm1 0.000 0.500 0.500
Dy1 0.500 0.000 0.000
```

Largest 12 diffraction maxima, by angle, 2θ from 10° to 90°:
Position (°2θ)  d_spacing  I_rel  index
29.75  3.003  100  1 1 2
34.05  2.633  17  0 2 0
34.29  2.615  17  2 0 0
35.10  2.556  16  0 0 4
49.10  1.856  12  2 2 0
49.71  1.834  12  0 2 4
49.89  1.828  12  2 0 4
58.30  1.583  15  1 3 2
58.63  1.575  15  3 1 2
59.71  1.549  14  1 1 6
61.78  1.502  12  2 2 4
79.76  1.202  6  3 3 2

[3]
Structure and theoretical powder diffractogram of Mg2ZrIn4 (a crystal structure in Alexandria, relaxed with PBE; a wavelength of 1.5418 Å).
Neutral-atom scattering factors, no anomalous dispersion.

Atomic structure:
```
data_Mg2ZrIn4
_symmetry_space_group_name_H-M 'I 4/m m m'
_symmetry_Int_Tables_number 139
_symmetry_space_group_name_Hall '-I 4 2'
_cell_length_a 6.429
_cell_length_b 6.429
_cell_length_c 8.292
_cell_angle_alpha 90.00
_cell_angle_beta 90.00
_cell_angle_gamma 90.00
loop_
_atom_site_label
_atom_site_fract_x
_atom_site_fract_y
_atom_site_fract_z
Mg1 0.000 0.500 0.000
Zr1 0.000 0.000 0.000
In1 0.250 0.250 0.250
```

Largest 12 diffraction maxima, by angle, 2θ from 10° to 90°:
Position (°2θ)  d_spacing  I_rel  index
17.45  5.081  14  1 0 1
21.43  4.146  24  0 0 2
27.75  3.214  26  2 0 0
35.33  2.540  100  2 0 2
39.65  2.273  35  2 2 0
43.66  2.073  15  0 0 4
45.51  1.993  15  2 2 2
52.52  1.742  10  2 0 4
57.33  1.607  12  4 0 0
60.44  1.532  21  2 2 4
69.17  1.358  26  4 2 2
74.75  1.270  21  4 0 4

[4]
Structure and theoretical powder diffractogram of SmEr4In3 (a crystal structure in Alexandria, relaxed with PBE; a wavelength of 1.5418 Å).
Neutral-atom scattering factors, no anomalous dispersion.

Atomic structure:
```
data_SmEr4In3
_symmetry_space_group_name_H-M 'R -3 m'
_symmetry_Int_Tables_number 166
_symmetry_space_group_name_Hall '-R 3 2"'
_cell_length_a 5.3021
_cell_length_b 5.3021
_cell_length_c 27.8178
_cell_angle_alpha 90.00
_cell_angle_beta 90.00
_cell_angle_gamma 120.00
loop_
_atom_site_label
_atom_site_fract_x
_atom_site_fract_y
_atom_site_fract_z
Sm1 0.0000 0.0000 0.0000
Er1 0.0000 0.0000 0.1283
Er2 0.0000 0.0000 0.3899
In1 0.0000 0.0000 0.2660
In2 0.0000 0.0000 0.5000
```

Largest 12 diffraction maxima, by angle, 2θ from 10° to 90°:
Position (°2θ)  d_spacing  I_rel  index
29.73  3.005  17  1 0 7
32.29  2.772  83  0 1 8
33.81  2.651  100  1 1 0
37.81  2.379  6  1 0 10
47.45  1.916  28  2 0 8
56.61  1.626  6  1 0 16
59.53  1.553  29  1 2 8
60.49  1.531  19  3 0 0
60.97  1.520  15  1 1 15
71.13  1.326  11  2 2 0
80.28  1.196  12  3 1 8
81.55  1.180  7  3 0 15

[5]
Structure and theoretical powder diffractogram of Mg3Ga8 (a crystal structure in Alexandria, relaxed with PBE; a wavelength of 1.5418 Å).
Neutral-atom scattering factors, no anomalous dispersion.

Atomic structure:
```
data_Mg3Ga8
_symmetry_space_group_name_H-M 'C 1 2/m 1'
_symmetry_Int_Tables_number 12
_cell_length_a 9.338
_cell_length_b 4.191
_cell_length_c 10.886
_cell_angle_alpha 90.00
_cell_angle_beta 103.00
_cell_angle_gamma 90.00
loop_
_symmetry_equiv_pos_as_xyz
'x,y,z'
'-x,-y,-z'
'-x,y,-z'
'x,-y,z'
'x+1/2,y+1/2,z'
'-x+1/2,-y+1/2,-z'
'-x+1/2,y+1/2,-z'
'x+1/2,-y+1/2,z'
loop_
_atom_site_label
_atom_site_fract_x
_atom_site_fract_y
_atom_site_fract_z
Mg1 0.000 0.000 0.000
Mg2 0.095 0.000 0.641
Ga1 0.049 0.500 0.819
Ga2 0.136 0.500 0.452
Ga3 0.180 0.000 0.275
Ga4 0.227 0.500 0.089
```

Largest 12 diffraction maxima, by angle, 2θ from 10° to 90°:
Position (°2θ)  d_spacing  I_rel  index
23.37  3.807  11  1 1 0
36.27  2.477  100  1 1 3
37.43  2.403  92  3 1 -2
42.48  2.128  32  4 0 1
42.79  2.113  31  2 0 -5
43.17  2.096  31  0 2 0
62.17  1.493  20  4 2 1
62.40  1.488  20  2 2 -5
72.93  1.297  12  5 1 4
73.37  1.290  12  1 1 -8
74.63  1.272  11  1 3 3
75.10  1.265  11  7 1 -1

[6]
Structure and theoretical powder diffractogram of TlHO2 (a crystal structure in Alexandria, relaxed with PBE; a wavelength of 1.5418 Å).
Neutral-atom scattering factors, no anomalous dispersion.

Atomic structure:
```
data_TlHO2
_symmetry_space_group_name_H-M 'P n a 21'
_symmetry_Int_Tables_number 33
_cell_length_a 5.652
_cell_length_b 6.722
_cell_length_c 5.379
_cell_angle_alpha 90.00
_cell_angle_beta 90.00
_cell_angle_gamma 90.00
loop_
_symmetry_equiv_pos_as_xyz
'x,y,z'
'-x,-y,z+1/2'
'-x+1/2,y+1/2,z+1/2'
'x+1/2,-y+1/2,z'
loop_
_atom_site_label
_atom_site_fract_x
_atom_site_fract_y
_atom_site_fract_z
Tl1 0.229 0.069 0.000
H1 0.204 0.433 0.963
O1 0.095 0.395 0.816
O2 0.115 0.883 0.683
```

Largest 12 diffraction maxima, by angle, 2θ from 10° to 90°:
Position (°2θ)  d_spacing  I_rel  index
21.15  4.200  23  0 1 1
26.45  3.370  100  1 1 1
30.96  2.889  17  1 2 0
31.66  2.826  16  2 0 0
33.31  2.690  13  0 0 2
43.77  2.068  16  0 3 1
46.11  1.968  18  1 2 2
46.62  1.948  13  2 0 2
53.29  1.719  13  3 1 1
55.02  1.669  14  2 3 1
55.48  1.656  14  1 1 3
67.82  1.382  9  1 4 2

[7]
Structure and theoretical powder diffractogram of Pm3Sm8Er (a crystal structure in Alexandria, relaxed with PBE; a wavelength of 1.5418 Å).
Neutral-atom scattering factors, no anomalous dispersion.

Atomic structure:
```
data_Pm3Sm8Er
_symmetry_space_group_name_H-M 'I m m m'
_symmetry_Int_Tables_number 71
_symmetry_space_group_name_Hall '-I 2 2'
_cell_length_a 6.609
_cell_length_b 11.355
_cell_length_c 11.589
_cell_angle_alpha 90.00
_cell_angle_beta 90.00
_cell_angle_gamma 90.00
loop_
_atom_site_label
_atom_site_fract_x
_atom_site_fract_y
_atom_site_fract_z
Pm1 0.000 0.000 0.000
Pm2 0.000 0.500 0.246
Sm1 0.000 0.165 0.251
Sm2 0.245 0.257 0.000
Er1 0.000 0.000 0.500
```

Largest 12 diffraction maxima, by angle, 2θ from 10° to 90°:
Position (°2θ)  d_spacing  I_rel  index
15.51  5.712  15  1 1 0
21.87  4.064  17  1 1 2
30.86  2.897  45  0 0 4
31.16  2.871  38  2 0 2
31.31  2.857  100  1 3 2
35.03  2.562  32  2 2 2
35.20  2.549  17  0 4 2
44.55  2.034  17  2 2 4
50.45  1.809  20  3 3 2
55.14  1.666  23  1 3 6
55.99  1.642  16  2 6 0
65.32  1.429  23  2 6 4